The following is a simulated XRD peak list of LiTm3Hg2. It was derived from DFT lattice parameters and positions (GGA-PBE), using Cu Kα (weighted mean of Kα1 and Kα2).
Lines closer than 0.1° are merged.

Main lines, low angle first (2θ from 10° to 90°):
d = 2.604 Å, 2θ 34.4, intensity 100; d = 2.578 Å, 2θ 34.8, intensity 23; d = 2.531 Å, 2θ 35.5, intensity 24; d = 1.806 Å, 2θ 50.5, intensity 16; d = 1.493 Å, 2θ 62.2, intensity 16; d = 1.475 Å, 2θ 63.0, intensity 18

Structural model:
abc: 8.1368 8.1368 3.7573
angles: 90.00 90.00 143.75
Element x y z (fractional)
Li  0.0000  0.0000  0.0000
Tm  0.1693  0.8307  0.5000
Tm  0.5000  0.5000  0.5000
Tm  0.8307  0.1693  0.5000
Hg  0.3439  0.6561  0.0000
Hg  0.6561  0.3439  0.0000